This entry pairs a crystal structure of CrFeAs6 with its simulated PXRD pattern. Radiation: λ = 1.5418 Å (Cu Kα). Structure: a DFT-relaxed cell (PBE, Alexandria).

Cell and atoms:
Unit cell a=5.4627 b=5.4627 c=5.5956 alpha=90.93 beta=90.93 gamma=97.67
Sites, in units of the cell vectors:
Cr: 0.0000 0.0000 0.0000
Fe: 0.0088 0.9912 0.5000
As: 0.0405 0.6594 0.7449
As: 0.2819 0.2734 0.7523
As: 0.3406 0.9595 0.2551
As: 0.7266 0.7181 0.2477
As: 0.7567 0.2360 0.2581
As: 0.7640 0.2433 0.7419

Principal peaks in the range 10° ≤ 2θ ≤ 90°, in order of rising 2θ:
2θ/deg  Rel. int.
16.4  100.0
22.6  56.7
23.1  46.6
32.0  53.1
38.5  40.5
39.2  51.3
46.2  45.6
47.2  40.2